Record 1
For KCSO3F3, a DFT-relaxed cell (PBE, the Materials Project) gives the simulated powder diffractogram in this record (CuKα).
No peak broadening, texture or thermal motion is included.

```
data_KCSO3F3
_chemical_formula_sum 'K6 C6 S6 O18 F18'
_space_group_name_H-M_alt 'P 1 21 1'
_space_group_IT_number 4
_space_group_name_Hall 'P 2yb'
_cell_length_a 10.984
_cell_length_b 6.075
_cell_length_c 14.742
_cell_angle_alpha 90.00
_cell_angle_beta 111.16
_cell_angle_gamma 90.00
loop_
_atom_site_label
_atom_site_fract_x
_atom_site_fract_y
_atom_site_fract_z
_atom_site_occupancy
K1 0.032 0.000 0.158 1
K2 0.065 0.997 0.664 1
K3 0.309 0.993 0.986 1
C1 0.320 0.508 0.718 1
C2 0.325 0.537 0.195 1
C3 0.332 0.959 0.466 1
S1 0.150 0.984 0.416 1
S2 0.160 0.499 0.099 1
S3 0.290 0.496 0.835 1
O1 0.071 0.490 0.152 1
O2 0.108 0.808 0.343 1
O3 0.113 0.949 0.500 1
O4 0.125 0.204 0.373 1
O5 0.147 0.696 0.039 1
O6 0.171 0.292 0.051 1
O7 0.210 0.692 0.830 1
O8 0.219 0.288 0.828 1
O9 0.420 0.501 0.911 1
F1 0.205 0.484 0.642 1
F2 0.336 0.745 0.230 1
F3 0.348 0.393 0.268 1
F4 0.367 0.752 0.499 1
F5 0.373 0.704 0.710 1
F6 0.382 0.005 0.396 1
F7 0.384 0.101 0.541 1
F8 0.401 0.345 0.714 1
F9 0.419 0.510 0.155 1
```

Most intense lines, 2θ = 15–90°, in order of falling intensity:
- 22.82 deg, I 100
- 23.20 deg, I 69
- 17.00 deg, I 58
- 19.25 deg, I 57
- 19.35 deg, I 55
- 28.65 deg, I 55
- 28.33 deg, I 51
- 29.41 deg, I 47
- 24.16 deg, I 32
- 38.63 deg, I 27

Record 2
For KSrCO3F, a DFT-relaxed cell (PBE, the Materials Project) gives the simulated powder diffractogram in this record (CuKα).
No peak broadening, texture or thermal motion is included.

```
data_KSrCO3F
_chemical_formula_sum 'K1 Sr1 C1 O3 F1'
_space_group_name_H-M_alt 'P -6 m 2'
_space_group_IT_number 187
_space_group_name_Hall 'P -6 2'
_cell_length_a 5.3143
_cell_length_b 5.3143
_cell_length_c 4.7664
_cell_angle_alpha 90.00
_cell_angle_beta 90.00
_cell_angle_gamma 120.00
loop_
_atom_site_label
_atom_site_fract_x
_atom_site_fract_y
_atom_site_fract_z
_atom_site_occupancy
K1 0.0000 0.0000 0.0000 1
Sr1 0.6667 0.3333 0.5000 1
C1 0.3333 0.6667 0.5000 1
O1 0.1917 0.3834 0.5000 1
F1 0.6667 0.3333 0.0000 1
```

Most intense lines, 2θ = 15–90°, in order of falling intensity:
- 26.93 deg, I 100
- 33.73 deg, I 80
- 43.68 deg, I 64
- 19.29 deg, I 63
- 18.62 deg, I 47
- 51.51 deg, I 44
- 39.15 deg, I 41
- 37.75 deg, I 39
- 55.51 deg, I 26
- 56.30 deg, I 20

Record 3
For LaCN2F, a DFT-relaxed cell (PBE, the Materials Project) gives the simulated powder diffractogram in this record (CuKα).
No peak broadening, texture or thermal motion is included.

```
data_LaCN2F
_chemical_formula_sum 'La4 C4 N8 F4'
_space_group_name_H-M_alt 'C m c m'
_space_group_IT_number 63
_space_group_name_Hall '-C 2c 2'
_cell_length_a 3.898
_cell_length_b 8.776
_cell_length_c 7.866
_cell_angle_alpha 90.00
_cell_angle_beta 90.00
_cell_angle_gamma 90.00
loop_
_atom_site_label
_atom_site_fract_x
_atom_site_fract_y
_atom_site_fract_z
_atom_site_occupancy
La1 0.000 0.222 0.250 1
C1 0.000 0.500 0.000 1
N1 0.000 0.368 0.553 1
F1 0.000 0.081 0.750 1
```

Most intense lines, 2θ = 15–90°, in order of falling intensity:
- 27.49 deg, I 100
- 42.82 deg, I 56
- 40.21 deg, I 53
- 30.52 deg, I 45
- 20.24 deg, I 44
- 22.61 deg, I 43
- 52.40 deg, I 29
- 33.95 deg, I 19
- 56.73 deg, I 15
- 46.60 deg, I 15

Record 4
For Sr3LaC2N4F5, a DFT-relaxed cell (PBE, the Materials Project) gives the simulated powder diffractogram in this record (CuKα).
No peak broadening, texture or thermal motion is included.

```
data_Sr3LaC2N4F5
_chemical_formula_sum 'Sr6 La2 C4 N8 F10'
_space_group_name_H-M_alt 'C 1 m 1'
_space_group_IT_number 8
_space_group_name_Hall 'C -2y'
_cell_length_a 6.628
_cell_length_b 11.545
_cell_length_c 6.676
_cell_angle_alpha 90.00
_cell_angle_beta 119.59
_cell_angle_gamma 90.00
loop_
_atom_site_label
_atom_site_fract_x
_atom_site_fract_y
_atom_site_fract_z
_atom_site_occupancy
Sr1 0.000 0.000 0.000 1
Sr2 0.328 0.163 0.673 1
La1 0.170 0.500 0.352 1
C1 0.335 0.249 0.174 1
N1 0.256 0.327 0.029 1
N2 0.414 0.171 0.322 1
F1 0.071 0.000 0.403 1
F2 0.085 0.500 0.665 1
F3 0.358 0.000 0.952 1
F4 0.444 0.368 0.667 1
```

Most intense lines, 2θ = 15–90°, in order of falling intensity:
- 27.79 deg, I 100
- 27.89 deg, I 89
- 48.14 deg, I 51
- 34.75 deg, I 46
- 15.33 deg, I 39
- 26.90 deg, I 35
- 44.44 deg, I 29
- 47.88 deg, I 25
- 34.59 deg, I 25
- 44.27 deg, I 25

Record 5
For LiPr2C2N4F3, a DFT-relaxed cell (PBE, the Materials Project) gives the simulated powder diffractogram in this record (CuKα).
No peak broadening, texture or thermal motion is included.

```
data_LiPr2C2N4F3
_chemical_formula_sum 'Li4 Pr8 C8 N16 F12'
_space_group_name_H-M_alt 'C 1 2/c 1'
_space_group_IT_number 15
_space_group_name_Hall '-C 2yc'
_cell_length_a 11.702
_cell_length_b 6.639
_cell_length_c 8.599
_cell_angle_alpha 90.00
_cell_angle_beta 115.44
_cell_angle_gamma 90.00
loop_
_atom_site_label
_atom_site_fract_x
_atom_site_fract_y
_atom_site_fract_z
_atom_site_occupancy
Li1 0.000 0.093 0.250 1
Pr1 0.213 0.496 0.332 1
C1 0.024 0.250 0.954 1
N1 0.086 0.202 0.633 1
N2 0.137 0.298 0.037 1
F1 0.000 0.397 0.250 1
F2 0.187 0.122 0.366 1
```

Most intense lines, 2θ = 15–90°, in order of falling intensity:
- 24.71 deg, I 100
- 16.78 deg, I 99
- 31.83 deg, I 71
- 29.18 deg, I 62
- 43.84 deg, I 34
- 26.86 deg, I 32
- 41.19 deg, I 29
- 33.99 deg, I 28
- 30.83 deg, I 27
- 46.16 deg, I 27

> Number 2 is which compound?

KSrCO3F